1.
Theoretical PXRD pattern
Compound: TbHo2Cd3Ir2Pt
Radiation: copper Kα
Structure: DFT lattice parameters and positions (PBE)
Kinematic intensities with the Lorentz-polarization factor, no thermal factor.

Structure:
```
data_TbHo2Cd3Ir2Pt
_cell_length_a 3.937
_cell_length_b 12.978
_cell_length_c 7.488
_cell_angle_alpha 90.00
_cell_angle_beta 90.00
_cell_angle_gamma 90.00
_symmetry_space_group_name_H-M 'A m m 2'
_symmetry_Int_Tables_number 38
loop_
_symmetry_equiv_pos_as_xyz
'x,y,z'
'-x,-y,z'
'-x,y,z'
'x,-y,z'
'x,y+1/2,z+1/2'
'-x,-y+1/2,z+1/2'
'-x,y+1/2,z+1/2'
'x,-y+1/2,z+1/2'
loop_
_atom_site_label
_atom_site_type_symbol
_atom_site_fract_x
_atom_site_fract_y
_atom_site_fract_z
Tb1 Tb 0.000 0.000 0.000
Ho1 Ho 0.000 0.204 0.612
Cd1 Cd 0.500 0.000 0.667
Cd2 Cd 0.500 0.130 0.278
Ir1 Ir 0.500 0.168 0.907
Pt1 Pt 0.000 0.000 0.409
```

Peak list (10 most intense, 15° ≤ 2θ ≤ 90°, sorted by position)
| (hkl) | 2θ (°) | intensity |
| --- | --- | --- |
| 0 3 1 | 23.76 | 14 |
| 1 0 2 | 33.01 | 80 |
| 1 2 2 | 35.87 | 100 |
| 0 5 1 | 36.65 | 32 |
| 0 3 3 | 41.77 | 47 |
| 1 5 1 | 43.48 | 37 |
| 2 0 0 | 46.11 | 26 |
| 2 5 1 | 60.29 | 15 |
| 2 3 3 | 63.95 | 27 |
| 1 8 2 | 67.25 | 33 |


2.
Theoretical PXRD pattern
Compound: KTl3Ga3Au4
Radiation: copper Kα
Structure: DFT lattice parameters and positions (PBE)
Kinematic intensities with the Lorentz-polarization factor, no thermal factor.

Structure:
```
data_KTl3Ga3Au4
_cell_length_a 8.1837
_cell_length_b 8.1837
_cell_length_c 4.5155
_cell_angle_alpha 90.00
_cell_angle_beta 90.00
_cell_angle_gamma 120.00
_symmetry_space_group_name_H-M 'P -6 m 2'
_symmetry_Int_Tables_number 187
_symmetry_space_group_name_Hall 'P -6 2'
loop_
_atom_site_label
_atom_site_type_symbol
_atom_site_fract_x
_atom_site_fract_y
_atom_site_fract_z
K1 K 0.0000 0.0000 0.0000
Tl1 Tl 0.5359 0.0718 0.0000
Ga1 Ga 0.2050 0.4100 0.5000
Au1 Au 0.3333 0.6667 0.0000
Au2 Au 0.3522 0.1761 0.5000
```

Peak list (10 most intense, 15° ≤ 2θ ≤ 90°, sorted by position)
| (hkl) | 2θ (°) | intensity |
| --- | --- | --- |
| 1 0 1 | 23.36 | 30 |
| 2 0 0 | 25.13 | 33 |
| 1 1 1 | 29.46 | 22 |
| 2 0 1 | 32.11 | 95 |
| 2 1 1 | 39.10 | 100 |
| 0 0 2 | 39.93 | 35 |
| 2 2 0 | 44.27 | 40 |
| 2 2 2 | 61.13 | 31 |
| 5 0 1 | 69.51 | 20 |
| 2 1 3 | 71.96 | 17 |


3.
Theoretical PXRD pattern
Compound: AlCdInS4
Radiation: copper Kα
Structure: DFT lattice parameters and positions (PBE)
Kinematic intensities with the Lorentz-polarization factor, no thermal factor.

Structure:
```
data_AlCdInS4
_cell_length_a 7.589
_cell_length_b 7.589
_cell_length_c 10.493
_cell_angle_alpha 90.00
_cell_angle_beta 90.00
_cell_angle_gamma 90.00
_symmetry_space_group_name_H-M 'P 41 2 2'
_symmetry_Int_Tables_number 91
loop_
_symmetry_equiv_pos_as_xyz
'x,y,z'
'-y,x,z+1/4'
'-x,-y,z+1/2'
'y,-x,z+3/4'
'x,-y,-z+1/2'
'-y,-x,-z+1/4'
'-x,y,-z'
'y,x,-z+3/4'
loop_
_atom_site_label
_atom_site_type_symbol
_atom_site_fract_x
_atom_site_fract_y
_atom_site_fract_z
Al1 Al 0.000 0.248 0.000
Cd1 Cd 0.249 0.500 0.750
In1 In 0.244 0.244 0.375
S1 S 0.021 0.230 0.769
S2 S 0.231 0.471 0.006
```

Peak list (10 most intense, 15° ≤ 2θ ≤ 90°, sorted by position)
| (hkl) | 2θ (°) | intensity |
| --- | --- | --- |
| 1 1 1 | 18.57 | 19 |
| 2 0 0 | 23.44 | 25 |
| 1 1 2 | 23.72 | 48 |
| 2 1 1 | 27.62 | 100 |
| 1 0 3 | 28.09 | 55 |
| 3 1 2 | 41.37 | 21 |
| 3 2 1 | 43.87 | 44 |
| 1 0 5 | 44.81 | 19 |
| 4 0 0 | 47.95 | 33 |
| 2 2 4 | 48.53 | 65 |


4.
Theoretical PXRD pattern
Compound: BeZn13
Radiation: copper Kα
Structure: DFT lattice parameters and positions (PBE)
Kinematic intensities with the Lorentz-polarization factor, no thermal factor.

Structure:
```
data_BeZn13
_cell_length_a 12.117
_cell_length_b 12.117
_cell_length_c 12.117
_cell_angle_alpha 90.00
_cell_angle_beta 90.00
_cell_angle_gamma 90.00
_symmetry_space_group_name_H-M 'F m -3 c'
_symmetry_Int_Tables_number 226
_symmetry_space_group_name_Hall '-F 4a 2 3'
loop_
_atom_site_label
_atom_site_type_symbol
_atom_site_fract_x
_atom_site_fract_y
_atom_site_fract_z
Be1 Be 0.250 0.250 0.250
Zn1 Zn 0.000 0.000 0.000
Zn2 Zn 0.000 0.120 0.181
```

Peak list (10 most intense, 15° ≤ 2θ ≤ 90°, sorted by position)
| (hkl) | 2θ (°) | intensity |
| --- | --- | --- |
| 2 2 0 | 20.73 | 13 |
| 4 2 2 | 36.32 | 37 |
| 4 4 0 | 42.19 | 8 |
| 5 3 1 | 44.22 | 100 |
| 6 0 0 | 44.88 | 52 |
| 7 5 3 | 70.85 | 16 |
| 9 3 1 | 74.74 | 8 |
| 8 4 4 | 77.13 | 7 |
| 10 0 0 | 79.03 | 9 |
| 9 5 3 | 86.05 | 14 |


5.
Theoretical PXRD pattern
Compound: Nd3Cu2Ge4Pd2
Radiation: copper Kα
Structure: DFT lattice parameters and positions (PBE)
Kinematic intensities with the Lorentz-polarization factor, no thermal factor.

Structure:
```
data_Nd3Cu2Ge4Pd2
_cell_length_a 4.133
_cell_length_b 4.301
_cell_length_c 25.070
_cell_angle_alpha 90.00
_cell_angle_beta 90.00
_cell_angle_gamma 90.00
_symmetry_space_group_name_H-M 'I m m m'
_symmetry_Int_Tables_number 71
_symmetry_space_group_name_Hall '-I 2 2'
loop_
_atom_site_label
_atom_site_type_symbol
_atom_site_fract_x
_atom_site_fract_y
_atom_site_fract_z
Nd1 Nd 0.000 0.000 0.000
Nd2 Nd 0.000 0.500 0.152
Cu1 Cu 0.000 0.000 0.250
Ge1 Ge 0.000 0.000 0.450
Ge2 Ge 0.000 0.500 0.303
Pd1 Pd 0.000 0.500 0.402
```

Peak list (10 most intense, 15° ≤ 2θ ≤ 90°, sorted by position)
| (hkl) | 2θ (°) | intensity |
| --- | --- | --- |
| 1 1 2 | 30.84 | 19 |
| 1 0 7 | 33.10 | 52 |
| 1 1 4 | 33.29 | 100 |
| 0 1 9 | 38.50 | 32 |
| 0 2 0 | 42.01 | 33 |
| 2 0 0 | 43.81 | 29 |
| 0 1 11 | 45.02 | 21 |
| 1 2 7 | 54.50 | 25 |
| 2 1 9 | 59.72 | 18 |
| 2 2 0 | 62.31 | 20 |


6.
Theoretical PXRD pattern
Compound: RbPPdO4
Radiation: copper Kα
Structure: DFT lattice parameters and positions (PBE)
Kinematic intensities with the Lorentz-polarization factor, no thermal factor.

Structure:
```
data_RbPPdO4
_cell_length_a 7.025
_cell_length_b 7.025
_cell_length_c 10.559
_cell_angle_alpha 90.00
_cell_angle_beta 90.00
_cell_angle_gamma 90.00
_symmetry_space_group_name_H-M 'I 4/m c m'
_symmetry_Int_Tables_number 140
_symmetry_space_group_name_Hall '-I 4 2c'
loop_
_atom_site_label
_atom_site_type_symbol
_atom_site_fract_x
_atom_site_fract_y
_atom_site_fract_z
Rb1 Rb 0.000 0.000 0.250
P1 P 0.000 0.500 0.250
Pd1 Pd 0.000 0.500 0.000
O1 O 0.123 0.377 0.157
```

Peak list (10 most intense, 15° ≤ 2θ ≤ 90°, sorted by position)
| (hkl) | 2θ (°) | intensity |
| --- | --- | --- |
| 1 1 0 | 17.86 | 39 |
| 1 1 2 | 24.61 | 90 |
| 2 0 0 | 25.36 | 100 |
| 2 2 0 | 36.17 | 38 |
| 2 0 4 | 42.85 | 46 |
| 3 1 2 | 44.23 | 52 |
| 2 2 4 | 50.45 | 28 |
| 4 2 0 | 58.78 | 17 |
| 4 0 4 | 63.64 | 19 |
| 4 2 4 | 69.65 | 21 |